Calculated powder XRD pattern of K2FeCuC6N6 for Cu Kα (weighted mean of Kα1 and Kα2), from DFT lattice parameters and positions (GGA-PBE).
Neutral-atom scattering factors, no anomalous dispersion.

Atomic structure:
abc: 10.3188 10.3188 10.3188
angles: 90.00 90.00 90.00
Space group Fm-3m (No. 225)
Inequivalent atoms, fractional coordinates:
K 0.2500 0.2500 0.2500 x8
Fe 0.0000 0.0000 0.0000 x4
Cu 0.0000 0.0000 0.5000 x4
C 0.0000 0.0000 0.1816 x24
N 0.0000 0.0000 0.2960 x24

Main lines, in order of rising 2θ (2θ = 5–70°):
Position (°2θ)	I/Imax	(hkl)
17.2	45	2 0 0
24.4	100	2 2 0
34.8	57	4 0 0
39.0	8	4 2 0
42.9	27	4 2 2
50.0	27	4 4 0
56.4	29	6 2 0
68.0	23	6 4 2